For Li2NdHo2Si2, a DFT-relaxed cell (PBE, Alexandria) gives the calculated X-ray powder pattern in this record (Cu Kα, 1.54184 Å).

Atomic structure:
```
Li2NdHo2Si2
1.0
2.243 1.295 8.836
-2.243 1.295 8.836
0.000 -2.590 8.836
Li Nd Ho Si
2 1 2 2
Direct
0.093 0.093 0.093
0.907 0.907 0.907
0.500 0.500 0.500
0.371 0.371 0.371
0.629 0.629 0.629
0.242 0.242 0.242
0.758 0.758 0.758
```

Peak list (10 most intense, 2θ = 5–70°, low angle first)
| 2theta | I/Imax |
| --- | --- |
| 23.14 | 100 |
| 33.03 | 60 |
| 35.61 | 69 |
| 40.21 | 54 |
| 46.90 | 15 |
| 51.19 | 16 |
| 52.98 | 16 |
| 54.78 | 20 |
| 67.47 | 19 |
| 68.54 | 15 |

=====

For Li2HoNi9, a DFT-relaxed cell (PBE, Alexandria) gives the calculated X-ray powder pattern in this record (Cu Kα, 1.54184 Å).

Atomic structure:
```
Li2HoNi9
1.0
8.058 0.000 0.000
0.000 8.058 0.000
0.000 0.000 4.707
Li Ho Ni
4 2 18
Direct
0.114 0.386 0.000
0.386 0.886 0.000
0.614 0.114 0.000
0.886 0.614 0.000
0.000 0.000 0.000
0.500 0.500 0.000
0.000 0.500 0.500
0.062 0.209 0.500
0.181 0.681 0.243
0.181 0.681 0.757
0.209 0.938 0.500
0.291 0.438 0.500
0.319 0.181 0.243
0.319 0.181 0.757
0.438 0.709 0.500
0.500 0.000 0.500
0.562 0.291 0.500
0.681 0.819 0.243
0.681 0.819 0.757
0.709 0.562 0.500
0.791 0.062 0.500
0.819 0.319 0.243
0.819 0.319 0.757
0.938 0.791 0.500
```

Peak list (10 most intense, 2θ = 5–70°, low angle first)
| 2theta | I/Imax |
| --- | --- |
| 15.55 | 30 |
| 24.53 | 49 |
| 24.70 | 24 |
| 36.88 | 48 |
| 40.24 | 100 |
| 44.58 | 55 |
| 46.06 | 44 |
| 46.46 | 55 |
| 50.63 | 37 |
| 51.91 | 20 |

=====

For Li2Ho3Ni7, a DFT-relaxed cell (PBE, Alexandria) gives the calculated X-ray powder pattern in this record (Cu Kα, 1.54184 Å).

Atomic structure:
```
Li2Ho3Ni7
1.0
2.521 1.455 7.987
-2.521 1.455 7.987
0.000 -2.910 7.987
Li Ho Ni
2 3 7
Direct
0.165 0.165 0.165
0.835 0.835 0.835
0.361 0.361 0.361
0.500 0.500 0.500
0.639 0.639 0.639
0.000 0.000 0.000
0.085 0.085 0.580
0.085 0.580 0.085
0.420 0.915 0.915
0.580 0.085 0.085
0.915 0.420 0.915
0.915 0.915 0.420
```

Peak list (10 most intense, 2θ = 5–70°, low angle first)
| 2theta | I/Imax |
| --- | --- |
| 11.08 | 47 |
| 20.68 | 40 |
| 33.26 | 95 |
| 35.62 | 54 |
| 36.38 | 81 |
| 41.54 | 77 |
| 42.08 | 24 |
| 42.41 | 100 |
| 62.48 | 32 |
| 64.47 | 28 |